This entry pairs a crystal structure of RbNdCr2O8 with its calculated XRD peak list. Radiation: Cu Kα, 1.54184 Å. Structure: a PBE+U-relaxed structure.
Lines closer than 0.1° are merged.

Structure:
```
data_RbNdCr2O8
_space_group_name_H-M_alt 'P -3'
_space_group_IT_number 147
_space_group_name_Hall '-P 3'
_cell_length_a 5.8883
_cell_length_b 5.8883
_cell_length_c 8.1614
_cell_angle_alpha 90.00
_cell_angle_beta 90.00
_cell_angle_gamma 120.00
loop_
_atom_site_label
_atom_site_fract_x
_atom_site_fract_y
_atom_site_fract_z
Rb1 0.0000 0.0000 0.0000
Nd1 0.0000 0.0000 0.5000
Cr1 0.3333 0.6667 0.7512
O1 0.1725 0.3557 0.6833
O2 0.3333 0.6667 0.9498
```

Main lines, in order of rising 2θ (10 to 80 degrees two-theta):
| 2theta | I_rel | h k l |
| --- | --- | --- |
| 17.39 | 62 | 1 0 0 |
| 20.54 | 79 | 0 1 1 |
| 28.00 | 100 | 0 1 2 |
| 30.36 | 67 | 1 1 0 |
| 37.67 | 19 | 2 -1 2 |
| 41.77 | 46 | 0 2 2 |
| 52.51 | 31 | 2 1 2 |
| 54.74 | 25 | 1 1 4 |